The following is a theoretical X-ray powder pattern of Mg4Si3. It was derived from a structure optimized by DFT (GGA-PBE), using a wavelength of 1.5418 Å.

Top 10 peaks for 5° ≤ 2θ ≤ 70°, by angle:
index	d_spacing	I (rel.)
0 1 -1	6.588	1000
0 2 -2	3.292	107
-1 2 2	2.325	69
1 1 2	2.318	69
-1 1 3	2.226	62
1 0 3	2.217	61
2 -1 0	2.208	65
1 2 1	2.159	71
2 0 -1	2.097	45
2 -2 1	2.090	44

Atomic structure:
```
Mg4Si3
1.0
4.417 0.000 0.000
-2.186 7.578 0.000
-0.055 -2.851 8.314
Mg Si
4 3
direct
0.072 0.144 0.159
0.263 0.529 0.391
0.737 0.471 0.609
0.928 0.856 0.841
0.344 0.690 0.713
0.500 0.000 0.000
0.656 0.310 0.287
```